For Sc4PtO, a DFT-relaxed cell (PBE, Alexandria) gives the calculated powder XRD pattern in this record (λ = 1.5418 Å (Cu Kα)).
Peak positions follow from Bragg's law for the DFT cell and can differ from measured ones.

Peak list (10 most intense, 2θ from 10° to 90°, by intensity)
- 36.4°, intensity 1000, hkl 1 1 2
- 14.1°, intensity 944, hkl 0 0 1
- 26.5°, intensity 834, hkl 1 1 1
- 21.6°, intensity 691, hkl 0 2 0
- 22.4°, intensity 509, hkl 1 1 0
- 39.8°, intensity 415, hkl 2 0 0
- 41.1°, intensity 397, hkl 1 3 1
- 38.4°, intensity 378, hkl 1 3 0
- 36.0°, intensity 365, hkl 0 2 2
- 48.4°, intensity 236, hkl 1 3 2

Structure:
```
data_Sc4PtO
_chemical_formula_sum 'Sc8 Pt2 O2'
_cell_length_a 4.5350
_cell_length_b 8.2110
_cell_length_c 6.2950
_cell_angle_alpha 90.00
_cell_angle_beta 90.00
_cell_angle_gamma 90.00
_symmetry_space_group_name_H-M 'P m m n'
_symmetry_Int_Tables_number 59
loop_
_symmetry_equiv_pos_as_xyz
'x,y,z'
'-x,-y,-z'
'-x+1/2,-y+1/2,z'
'x+1/2,y+1/2,-z'
'x+1/2,-y,-z'
'-x+1/2,y,z'
'-x,y+1/2,-z'
'x,-y+1/2,z'
loop_
_atom_site_label
_atom_site_type_symbol
_atom_site_fract_x
_atom_site_fract_y
_atom_site_fract_z
_atom_site_occupancy
Sc1 Sc 0.2500 0.0500 0.1912 1
Sc2 Sc 0.2500 0.2500 0.7339 1
Sc3 Sc 0.2500 0.7500 0.5893 1
Pt1 Pt 0.2500 0.7500 0.0176 1
O1 O 0.2500 0.2500 0.4041 1
```

For Ba2AlSn2Hg4, a DFT-relaxed cell (PBE, Alexandria) gives the calculated powder XRD pattern in this record (λ = 1.5418 Å (Cu Kα)).
Peak positions follow from Bragg's law for the DFT cell and can differ from measured ones.

Peak list (10 most intense, 2θ from 10° to 90°, by intensity)
- 30.3°, intensity 1000, hkl 2 0 2
- 35.0°, intensity 389, hkl 2 2 0
- 59.9°, intensity 253, hkl 4 2 2
- 50.6°, intensity 206, hkl 2 2 4
- 35.3°, intensity 154, hkl 0 0 4
- 50.4°, intensity 130, hkl 4 0 0
- 63.0°, intensity 98, hkl 4 0 4
- 60.2°, intensity 85, hkl 2 0 6
- 17.4°, intensity 84, hkl 0 0 2
- 38.4°, intensity 77, hkl 2 1 3

Structure:
```
data_Ba2AlSn2Hg4
_chemical_formula_sum 'Ba4 Al2 Sn4 Hg8'
_cell_length_a 7.2470
_cell_length_b 7.2470
_cell_length_c 10.1773
_cell_angle_alpha 90.00
_cell_angle_beta 90.00
_cell_angle_gamma 90.00
_symmetry_space_group_name_H-M 'I 4/m m m'
_symmetry_Int_Tables_number 139
_symmetry_space_group_name_Hall '-I 4 2'
loop_
_atom_site_label
_atom_site_type_symbol
_atom_site_fract_x
_atom_site_fract_y
_atom_site_fract_z
_atom_site_occupancy
Ba1 Ba 0.0000 0.5000 0.2500 1
Al1 Al 0.0000 0.0000 0.0000 1
Sn1 Sn 0.0000 0.0000 0.3016 1
Hg1 Hg 0.2305 0.2305 0.5000 1
```

For PmB2Pt10, a DFT-relaxed cell (PBE, Alexandria) gives the calculated powder XRD pattern in this record (λ = 1.5418 Å (Cu Kα)).
Peak positions follow from Bragg's law for the DFT cell and can differ from measured ones.

Peak list (10 most intense, 2θ from 10° to 90°, by intensity)
- 41.5°, intensity 1000, hkl 0 4 4
- 47.9°, intensity 934, hkl 2 4 0
- 35.3°, intensity 881, hkl 0 4 2
- 36.2°, intensity 743, hkl 1 1 5
- 37.1°, intensity 715, hkl 0 0 6
- 33.7°, intensity 640, hkl 2 0 0
- 42.1°, intensity 629, hkl 2 0 4
- 62.1°, intensity 489, hkl 2 4 6
- 35.9°, intensity 399, hkl 2 0 2
- 33.0°, intensity 394, hkl 0 4 0

Structure:
```
data_PmB2Pt10
_chemical_formula_sum 'Pm4 B8 Pt40'
_cell_length_a 5.3261
_cell_length_b 10.8454
_cell_length_c 14.5419
_cell_angle_alpha 90.00
_cell_angle_beta 90.00
_cell_angle_gamma 90.00
_symmetry_space_group_name_H-M 'F m m m'
_symmetry_Int_Tables_number 69
_symmetry_space_group_name_Hall '-F 2 2'
loop_
_atom_site_label
_atom_site_type_symbol
_atom_site_fract_x
_atom_site_fract_y
_atom_site_fract_z
_atom_site_occupancy
Pm1 Pm 0.0000 0.0000 0.0000 1
B1 B 0.2500 0.0000 0.2500 1
Pt1 Pt 0.0000 0.1261 0.3642 1
Pt2 Pt 0.0000 0.1294 0.1757 1
Pt3 Pt 0.2500 0.2500 0.0000 1
```

Q: Number 3 is which compound?
A: PmB2Pt10